Theoretical powder diffractogram
Compound: SrAcSn6
Radiation: λ = 1.5418 Å (Cu Kα)
Structure: a crystal structure in Alexandria, relaxed with PBE
No peak broadening, texture or thermal motion is included.

Main lines, by intensity (10° ≤ 2θ ≤ 80°):
| 2θ/deg | I (rel.) |
| --- | --- |
| 31.66 | 100 |
| 36.85 | 34 |
| 63.16 | 29 |
| 52.80 | 24 |
| 36.45 | 17 |
| 62.61 | 15 |
| 66.12 | 13 |
| 53.10 | 12 |

Structural model:
```
data_SrAcSn6
_space_group_name_H-M_alt 'P 4/m m m'
_space_group_IT_number 123
_space_group_name_Hall '-P 4 2'
_cell_length_a 4.878
_cell_length_b 4.878
_cell_length_c 9.860
_cell_angle_alpha 90.00
_cell_angle_beta 90.00
_cell_angle_gamma 90.00
loop_
_atom_site_label
_atom_site_type_symbol
_atom_site_fract_x
_atom_site_fract_y
_atom_site_fract_z
Sr1 Sr 0.000 0.000 0.000
Ac1 Ac 0.000 0.000 0.500
Sn1 Sn 0.000 0.500 0.246
Sn2 Sn 0.500 0.500 0.000
Sn3 Sn 0.500 0.500 0.500
```

***

Theoretical powder diffractogram
Compound: RbSrZnF6
Radiation: λ = 1.5418 Å (Cu Kα)
Structure: a crystal structure in Alexandria, relaxed with PBE
No peak broadening, texture or thermal motion is included.

Main lines, by intensity (10° ≤ 2θ ≤ 80°):
| 2θ/deg | I (rel.) |
| --- | --- |
| 28.95 | 100 |
| 26.99 | 83 |
| 26.76 | 72 |
| 48.84 | 65 |
| 46.60 | 43 |
| 28.69 | 39 |
| 42.57 | 33 |
| 43.64 | 30 |

Structural model:
```
data_RbSrZnF6
_space_group_name_H-M_alt 'I m m a'
_space_group_IT_number 74
_space_group_name_Hall '-I 2b 2'
_cell_length_a 7.798
_cell_length_b 7.918
_cell_length_c 10.063
_cell_angle_alpha 90.00
_cell_angle_beta 90.00
_cell_angle_gamma 90.00
loop_
_atom_site_label
_atom_site_type_symbol
_atom_site_fract_x
_atom_site_fract_y
_atom_site_fract_z
Rb1 Rb 0.000 0.250 0.095
Sr1 Sr 0.000 0.000 0.500
Zn1 Zn 0.250 0.250 0.750
F1 F 0.000 0.250 0.370
F2 F 0.000 0.250 0.676
F3 F 0.214 0.077 0.883
```

***

Theoretical powder diffractogram
Compound: Lu3P6Pd20
Radiation: λ = 1.5418 Å (Cu Kα)
Structure: a crystal structure in Alexandria, relaxed with PBE
No peak broadening, texture or thermal motion is included.

Main lines, by intensity (10° ≤ 2θ ≤ 80°):
| 2θ/deg | I (rel.) |
| --- | --- |
| 38.28 | 100 |
| 36.01 | 39 |
| 41.83 | 35 |
| 64.75 | 30 |
| 32.78 | 23 |
| 76.38 | 22 |
| 43.84 | 20 |
| 66.25 | 15 |

Structural model:
```
data_Lu3P6Pd20
_space_group_name_H-M_alt 'F m -3 m'
_space_group_IT_number 225
_space_group_name_Hall '-F 4 2 3'
_cell_length_a 12.217
_cell_length_b 12.217
_cell_length_c 12.217
_cell_angle_alpha 90.00
_cell_angle_beta 90.00
_cell_angle_gamma 90.00
loop_
_atom_site_label
_atom_site_type_symbol
_atom_site_fract_x
_atom_site_fract_y
_atom_site_fract_z
Lu1 Lu 0.000 0.000 0.000
Lu2 Lu 0.250 0.250 0.250
P1 P 0.000 0.000 0.264
Pd1 Pd 0.000 0.172 0.172
Pd2 Pd 0.117 0.117 0.383
```

***

Theoretical powder diffractogram
Compound: Sm8HoIn6
Radiation: λ = 1.5418 Å (Cu Kα)
Structure: a crystal structure in Alexandria, relaxed with PBE
No peak broadening, texture or thermal motion is included.

Main lines, by intensity (10° ≤ 2θ ≤ 80°):
| 2θ/deg | I (rel.) |
| --- | --- |
| 33.53 | 100 |
| 33.92 | 93 |
| 60.45 | 36 |
| 48.44 | 35 |
| 23.67 | 33 |
| 59.70 | 18 |
| 60.69 | 17 |
| 70.46 | 11 |

Structural model:
```
data_Sm8HoIn6
_space_group_name_H-M_alt 'R -3'
_space_group_IT_number 148
_space_group_name_Hall '-R 3'
_cell_length_a 9.1553
_cell_length_b 9.1553
_cell_length_c 19.7521
_cell_angle_alpha 90.00
_cell_angle_beta 90.00
_cell_angle_gamma 120.00
loop_
_atom_site_label
_atom_site_type_symbol
_atom_site_fract_x
_atom_site_fract_y
_atom_site_fract_z
Sm1 Sm 0.0000 0.0000 0.1660
Sm2 Sm 0.9995 0.3331 0.0522
Ho1 Ho 0.0000 0.0000 0.5000
In1 In 0.9997 0.3291 0.5557
```